1.
Simulated powder XRD pattern of Pm3ZnBi2 for a wavelength of 1.5418 Å, from a DFT-relaxed cell (PBE, Alexandria).
Peak positions follow from Bragg's law for the DFT cell and can differ from measured ones.

Principal peaks in the range 2θ = 5–70°, by angle:
28.06°, I = 100; 39.42°, I = 14; 40.09°, I = 52; 40.87°, I = 12; 49.04°, I = 15; 50.27°, I = 14; 58.08°, I = 9; 64.71°, I = 6; 65.56°, I = 12; 65.69°, I = 12

Cell and atoms:
a = 4.5718 Å, b = 6.3718 Å, c = 13.2488 Å
α = 90.00°, β = 90.00°, γ = 90.00°
Space group Immm (No. 71)
Unique sites:
Pm  0.0000  0.0000  0.0000
Pm  0.0000  0.0000  0.3348
Zn  0.0000  0.5000  0.0000
Bi  0.0000  0.5000  0.3305



2.
Simulated powder XRD pattern of PrBi4 for a wavelength of 1.5418 Å, from a DFT-relaxed cell (PBE, Alexandria).
Peak positions follow from Bragg's law for the DFT cell and can differ from measured ones.

Principal peaks in the range 2θ = 5–70°, by angle:
24.92°, I = 33; 25.95°, I = 33; 28.72°, I = 100; 32.82°, I = 86; 34.75°, I = 44; 35.86°, I = 35; 38.78°, I = 50; 40.88°, I = 37; 54.94°, I = 38; 60.63°, I = 42

Cell and atoms:
a = 7.3225 Å, b = 10.9214 Å, c = 4.4152 Å
α = 90.00°, β = 90.00°, γ = 90.00°
Space group Pbam (No. 55)
Unique sites:
Pr  0.0000  0.0000  0.0000
Bi  0.1625  0.2842  0.0000
Bi  0.1792  0.5997  0.5000



3.
Simulated powder XRD pattern of Pr3Bi2 for a wavelength of 1.5418 Å, from a DFT-relaxed cell (PBE, Alexandria).
Peak positions follow from Bragg's law for the DFT cell and can differ from measured ones.

Principal peaks in the range 2θ = 5–70°, by angle:
22.44°, I = 25; 27.92°, I = 68; 29.99°, I = 30; 30.52°, I = 100; 31.78°, I = 72; 35.41°, I = 39; 45.80°, I = 32; 51.05°, I = 24; 57.70°, I = 21; 66.69°, I = 22

Cell and atoms:
a = 6.3908 Å, b = 6.3908 Å, c = 16.4758 Å
α = 90.00°, β = 90.00°, γ = 90.00°
Space group I4_1/amd (No. 141, origin choice 2)
Unique sites:
Pr  0.0000  0.0000  0.0000
Pr  0.0000  0.2500  0.3750
Bi  0.0000  0.2500  0.1774



4.
Simulated powder XRD pattern of Pr5Bi for a wavelength of 1.5418 Å, from a DFT-relaxed cell (PBE, Alexandria).
Peak positions follow from Bragg's law for the DFT cell and can differ from measured ones.

Principal peaks in the range 2θ = 5–70°, by angle:
30.19°, I = 100; 33.75°, I = 18; 35.52°, I = 16; 35.68°, I = 16; 49.81°, I = 12; 49.93°, I = 12; 58.18°, I = 15; 60.52°, I = 14; 60.73°, I = 14; 62.77°, I = 12

Cell and atoms:
a = 5.0322 Å, b = 15.9330 Å, c = 5.0543 Å
α = 90.00°, β = 90.00°, γ = 90.00°
Space group Cmmm (No. 65)
Unique sites:
Pr  0.0000  0.0000  0.0000
Pr  0.0000  0.1600  0.5000
Pr  0.0000  0.3373  0.0000
Bi  0.0000  0.5000  0.5000